# 1
Co2Pd: theoretical PXRD pattern (Cu Ka), based on a DFT-relaxed cell (PBE, the Materials Project).
No peak broadening, texture or thermal motion is included.

Principal peaks in the range 15 to 90 degrees two-theta, by angle:
28.24°, I = 84, hkl 0 0 2
39.44°, I = 45, hkl 1 0 0
42.06°, I = 1000, hkl 1 0 1
42.94°, I = 282, hkl 0 0 3
49.22°, I = 582, hkl 0 1 2
59.71°, I = 45, hkl 1 0 3
71.53°, I = 180, hkl 1 1 0
72.78°, I = 186, hkl 1 0 4
78.60°, I = 28, hkl 1 1 2
86.60°, I = 115, hkl 0 2 1
87.20°, I = 201, hkl 1 1 3
88.39°, I = 89, hkl 0 1 5

Cell and atoms:
Cell lengths 2.6379, 2.6379, 6.3193 Å; angles 90.00, 90.00, 120.00 degrees
Space group P-3m1 (No. 164)
Unique sites:
Co 0.3333 0.6667 0.1502
Pd 0.0000 0.0000 0.5000



# 2
CoPd: theoretical PXRD pattern (Cu Ka), based on a DFT-relaxed cell (PBE, the Materials Project).
No peak broadening, texture or thermal motion is included.

Principal peaks in the range 15 to 90 degrees two-theta, by angle:
20.69°, I = 147, hkl 0 0 3
39.27°, I = 85, hkl 1 0 1
41.18°, I = 1000, hkl 0 1 2
42.09°, I = 313, hkl 0 0 6
48.19°, I = 625, hkl 1 0 4
52.97°, I = 37, hkl 0 1 5
69.89°, I = 195, hkl 1 1 0
71.16°, I = 184, hkl 0 1 8
84.46°, I = 115, hkl 2 0 2
85.07°, I = 227, hkl 1 1 6
86.27°, I = 110, hkl 1 0 10
89.40°, I = 102, hkl 0 2 4

Cell and atoms:
Cell lengths 2.6919, 2.6919, 12.8818 Å; angles 90.00, 90.00, 120.00 degrees
Space group R-3m (No. 166, hexagonal axes)
Unique sites:
Co 0.0000 0.0000 0.0000
Pd 0.0000 0.0000 0.5000



# 3
CoPd3: theoretical PXRD pattern (Cu Ka), based on a DFT-relaxed cell (PBE, the Materials Project).
No peak broadening, texture or thermal motion is included.

Principal peaks in the range 15 to 90 degrees two-theta, by angle:
22.98°, I = 47, hkl 1 0 0
32.72°, I = 38, hkl 1 1 0
40.36°, I = 1000, hkl 1 1 1
46.95°, I = 481, hkl 2 0 0
52.89°, I = 21, hkl 2 1 0
58.40°, I = 16, hkl 2 1 1
68.57°, I = 298, hkl 2 2 0
73.38°, I = 10, hkl 3 0 0
78.08°, I = 7, hkl 3 1 0
82.69°, I = 353, hkl 3 1 1
87.25°, I = 104, hkl 2 2 2

Cell and atoms:
Cell lengths 3.871, 3.871, 3.871 Å; angles 90.00, 90.00, 90.00 degrees
Space group Pm-3m (No. 221)
Unique sites:
Co 0.000 0.000 0.000
Pd 0.000 0.500 0.500



# 4
Ta4Co2PdSe12: theoretical PXRD pattern (Cu Ka), based on a DFT-relaxed cell (PBE, the Materials Project).
No peak broadening, texture or thermal motion is included.

Principal peaks in the range 15 to 90 degrees two-theta, by angle:
27.67°, I = 595, hkl 1 1 1
29.32°, I = 374, hkl 0 0 6
31.85°, I = 604, hkl 1 1 -4
32.43°, I = 605, hkl 3 1 -2
34.73°, I = 865, hkl 3 1 -4
35.18°, I = 351, hkl 4 0 3
36.53°, I = 1000, hkl 2 0 6
39.54°, I = 751, hkl 3 1 -6
41.65°, I = 587, hkl 6 0 -6
43.26°, I = 717, hkl 5 1 0
53.25°, I = 468, hkl 0 2 0
54.95°, I = 341, hkl 1 1 9

Cell and atoms:
Cell lengths 14.016, 3.440, 19.487 Å; angles 90.00, 110.15, 90.00 degrees
Space group C2/m (No. 12)
Unique sites:
Ta 0.124 0.000 0.151
Ta 0.246 0.000 0.406
Co 0.229 0.500 0.284
Pd 0.000 0.500 0.000
Se 0.026 0.500 0.881
Se 0.106 0.000 0.281
Se 0.125 0.000 0.606
Se 0.137 0.500 0.450
Se 0.185 0.500 0.074
Se 0.193 0.500 0.764